Theoretical powder X-ray diffraction pattern of HfO2 for λ = 1.5418 Å (Cu Kα), from a structure optimized by DFT (GGA-PBE).
No peak broadening, texture or thermal motion is included.

Atomic structure:
```
HfO2
1.0
5.1423 0.0000 0.0000
0.0000 5.1951 0.0000
-0.8950 0.0000 5.2503
Hf O
4 8
Direct
0.2240 0.0427 0.2921
0.2240 0.4573 0.7921
0.7760 0.5427 0.2079
0.7760 0.9573 0.7079
0.0511 0.7426 0.5223
0.0511 0.7574 0.0223
0.4322 0.1699 0.6529
0.4322 0.3301 0.1529
0.5678 0.6699 0.8471
0.5678 0.8301 0.3471
0.9489 0.2426 0.9777
0.9489 0.2574 0.4777
```

Peak list (6 most intense, 2θ from 10° to 80°, by angle)
- 2θ = 28.2°, intensity 100.0, hkl 1 1 -1
- 2θ = 31.6°, intensity 78.3, hkl 1 1 1
- 2θ = 34.2°, intensity 24.7, hkl 0 0 2
- 2θ = 34.5°, intensity 18.9, hkl 0 2 0
- 2θ = 35.4°, intensity 22.7, hkl 2 0 0
- 2θ = 50.3°, intensity 21.4, hkl 2 2 0